Computed powder diffractogram of Ca2Nd4Sm for Cu Kα, from the PBE geometry in Alexandria.
No peak broadening, texture or thermal motion is included.

Peak list (10 most intense, 5 to 70 degrees two-theta, most intense first)
hkl 1 1 4, 2θ 32.7, intensity 100.0
hkl 0 1 7, 2θ 30.1, intensity 90.2
hkl 0 0 2, 2θ 7.4, intensity 73.7
hkl 0 2 0, 2θ 30.0, intensity 53.8
hkl 1 0 3, 2θ 27.2, intensity 40.1
hkl 1 2 3, 2θ 40.9, intensity 26.7
hkl 2 1 7, 2θ 60.2, intensity 24.8
hkl 1 2 11, 2θ 58.5, intensity 23.9
hkl 1 3 4, 2θ 55.0, intensity 22.5
hkl 1 1 6, 2θ 36.9, intensity 21.1

Structural model:
```
14
Lattice="3.595 0.000 0.000 0.000 5.960 0.000 0.000 0.000 23.926" Properties=species:S:1:pos:R:3 pbc="T T T"
Ca 0.000 0.000 5.288
Ca 0.000 0.000 18.638
Ca 1.797 2.980 6.675
Ca 1.797 2.980 17.251
Nd 0.000 2.980 3.127
Nd 0.000 2.980 10.051
Nd 0.000 2.980 13.875
Nd 0.000 2.980 20.798
Nd 1.797 0.000 1.912
Nd 1.797 0.000 8.836
Nd 1.797 0.000 15.090
Nd 1.797 0.000 22.014
Sm 0.000 0.000 11.963
Sm 1.797 2.980 0.000
```